Simulated X-ray powder pattern
Compound: TbPu2USb4
Radiation: Cu Kα, 1.54184 Å
Structure: DFT lattice parameters and positions (PBE)
No peak broadening, texture or thermal motion is included.

Most intense lines, 10° ≤ 2θ ≤ 80°, by angle:
| Position (°2θ) | I_rel | hkl |
| --- | --- | --- |
| 24.7 | 14 | 2 0 0 |
| 28.7 | 100 | 1 1 1 |
| 40.9 | 39 | 2 0 2 |
| 41.0 | 38 | 0 2 0 |
| 50.8 | 21 | 4 0 0 |
| 59.3 | 13 | 2 2 2 |
| 67.1 | 18 | 3 1 3 |
| 67.3 | 18 | 4 2 0 |
| 74.6 | 9 | 5 1 1 |
| 74.7 | 11 | 6 0 -2 |

Crystal structure
a b c (Å): 7.624 4.399 7.645
angles (deg): 90.00 109.33 90.00
Space group P2/m (No. 10)
Unique sites:
Tb  0.000  0.000  0.000 x1
Pu  0.000  0.500  0.500 x1
Pu  0.500  0.000  0.500 x1
U  0.500  0.500  0.000 x1
Sb  0.251  0.000  0.753 x2
Sb  0.252  0.500  0.247 x2

---

Simulated X-ray powder pattern
Compound: Pu3SbTe6
Radiation: Cu Kα, 1.54184 Å
Structure: DFT lattice parameters and positions (PBE)
No peak broadening, texture or thermal motion is included.

Most intense lines, 10° ≤ 2θ ≤ 80°, by angle:
| Position (°2θ) | I_rel | hkl |
| --- | --- | --- |
| 15.0 | 33 | 1 1 1 |
| 22.3 | 100 | 2 2 1 |
| 22.5 | 48 | 1 3 1 |
| 30.5 | 27 | 1 3 2 |
| 30.9 | 82 | 3 3 1 |
| 33.1 | 80 | 3 1 2 |
| 33.6 | 65 | 0 4 2 |
| 37.4 | 78 | 3 5 0 |
| 42.7 | 31 | 3 1 3 |
| 45.4 | 31 | 6 0 0 |

Crystal structure
a b c (Å): 11.993 15.034 7.588
angles (deg): 90.00 90.00 90.00
Space group Cmc2_1 (No. 36)
Unique sites:
Pu  0.000  0.095  0.000 x4
Pu  0.178  0.401  0.105 x8
Sb  0.000  0.323  0.628 x4
Te  0.000  0.264  0.253 x4
Te  0.000  0.498  0.869 x4
Te  0.166  0.035  0.300 x8
Te  0.174  0.234  0.828 x8

---

Simulated X-ray powder pattern
Compound: PuSbTe4
Radiation: Cu Kα, 1.54184 Å
Structure: DFT lattice parameters and positions (PBE)
No peak broadening, texture or thermal motion is included.

Most intense lines, 10° ≤ 2θ ≤ 80°, by angle:
| Position (°2θ) | I_rel | hkl |
| --- | --- | --- |
| 13.1 | 44 | 1 0 0 |
| 27.2 | 100 | 1 1 -1 |
| 27.5 | 51 | 1 0 2 |
| 35.1 | 17 | 2 0 -2 |
| 35.6 | 24 | 2 1 -1 |
| 36.2 | 43 | 2 1 1 |
| 41.7 | 36 | 0 1 3 |
| 42.3 | 18 | 0 2 0 |
| 47.5 | 18 | 3 1 1 |
| 51.2 | 19 | 1 2 2 |

Crystal structure
a b c (Å): 6.774 4.273 7.531
angles (deg): 90.00 91.89 90.00
Space group P2/m (No. 10)
Unique sites:
Pu  0.000  0.000  0.000 x1
Sb  0.000  0.500  0.500 x1
Te  0.260  0.000  0.332 x2
Te  0.262  0.500  0.844 x2

---

Simulated X-ray powder pattern
Compound: Pu3Th2Sb4
Radiation: Cu Kα, 1.54184 Å
Structure: DFT lattice parameters and positions (PBE)
No peak broadening, texture or thermal motion is included.

Most intense lines, 10° ≤ 2θ ≤ 80°, by angle:
| Position (°2θ) | I_rel | hkl |
| --- | --- | --- |
| 21.2 | 25 | 1 1 0 |
| 30.8 | 100 | 0 2 1 |
| 31.5 | 97 | 1 0 -2 |
| 31.8 | 22 | 2 0 1 |
| 32.0 | 92 | 1 -1 2 |
| 33.8 | 64 | 2 1 1 |
| 36.3 | 45 | 2 -1 0 |
| 37.2 | 62 | 1 1 3 |
| 37.9 | 43 | 1 2 -1 |
| 53.3 | 24 | 0 1 -4 |

Crystal structure
a b c (Å): 5.725 6.035 7.713
angles (deg): 81.58 77.47 84.94
Space group P-1 (No. 2)
Unique sites:
Pu  0.000  0.000  0.000 x1
Pu  0.355  0.848  0.226 x2
Th  0.289  0.645  0.686 x2
Sb  0.196  0.175  0.573 x2
Sb  0.269  0.373  0.101 x2

---

Simulated X-ray powder pattern
Compound: TmPuTh2Sb5
Radiation: Cu Kα, 1.54184 Å
Structure: DFT lattice parameters and positions (PBE)
No peak broadening, texture or thermal motion is included.

Most intense lines, 10° ≤ 2θ ≤ 80°, by angle:
| Position (°2θ) | I_rel | hkl |
| --- | --- | --- |
| 23.0 | 34 | 1 0 2 |
| 24.0 | 100 | 1 1 0 |
| 28.9 | 25 | 1 0 3 |
| 31.2 | 34 | 0 0 4 |
| 33.7 | 60 | 1 1 3 |
| 34.2 | 92 | 2 0 0 |
| 39.7 | 22 | 1 1 4 |
| 46.9 | 43 | 2 0 4 |
| 49.1 | 33 | 2 2 0 |
| 60.9 | 22 | 3 1 3 |

Crystal structure
a b c (Å): 5.243 5.243 11.485
angles (deg): 90.00 90.00 90.00
Space group P4/mmm (No. 123)
Unique sites:
Tm  0.000  0.000  0.000 x1
Pu  0.000  0.000  0.500 x1
Th  0.500  0.500  0.196 x2
Sb  0.000  0.000  0.249 x2
Sb  0.000  0.500  0.000 x2
Sb  0.500  0.500  0.500 x1

---

Simulated X-ray powder pattern
Compound: PuTi2Sb2
Radiation: Cu Kα, 1.54184 Å
Structure: DFT lattice parameters and positions (PBE)
No peak broadening, texture or thermal motion is included.

Most intense lines, 10° ≤ 2θ ≤ 80°, by angle:
| Position (°2θ) | I_rel | hkl |
| --- | --- | --- |
| 14.2 | 50 | 1 1 0 |
| 24.1 | 96 | 2 0 0 |
| 28.2 | 65 | 1 3 -1 |
| 32.7 | 86 | 2 0 -2 |
| 37.0 | 100 | 2 4 -1 |
| 37.3 | 95 | 1 3 1 |
| 37.4 | 74 | 3 3 -1 |
| 41.0 | 49 | 4 0 -2 |
| 57.7 | 34 | 5 3 -1 |
| 77.4 | 24 | 6 0 0 |

Crystal structure
a b c (Å): 9.197 11.648 5.480
angles (deg): 90.00 126.44 90.00
Space group C2/c (No. 15)
Unique sites:
Pu  0.000  0.083  0.250 x4
Ti  0.182  0.419  0.934 x8
Sb  0.000  0.203  0.750 x4
Sb  0.000  0.371  0.250 x4

---

Simulated X-ray powder pattern
Compound: Pu3Tl2Sb
Radiation: Cu Kα, 1.54184 Å
Structure: DFT lattice parameters and positions (PBE)
No peak broadening, texture or thermal motion is included.

Most intense lines, 10° ≤ 2θ ≤ 80°, by angle:
| Position (°2θ) | I_rel | hkl |
| --- | --- | --- |
| 33.0 | 100 | 1 1 0 |
| 33.2 | 82 | 0 1 2 |
| 43.2 | 16 | 1 1 2 |
| 47.5 | 31 | 2 0 2 |
| 58.9 | 20 | 3 0 0 |
| 59.0 | 33 | 1 2 2 |
| 59.5 | 16 | 0 1 4 |
| 69.1 | 12 | 2 2 0 |
| 78.9 | 14 | 3 1 2 |
| 79.3 | 14 | 1 2 4 |

Crystal structure
a b c (Å): 5.4357 5.4357 6.5804
angles (deg): 90.00 90.00 120.00
Space group P-3m1 (No. 164)
Unique sites:
Pu  0.0000  0.0000  0.0000 x1
Pu  0.3333  0.6667  0.6049 x2
Tl  0.3333  0.6667  0.1187 x2
Sb  0.0000  0.0000  0.5000 x1

---

Simulated X-ray powder pattern
Compound: Tm5PuSb4
Radiation: Cu Kα, 1.54184 Å
Structure: DFT lattice parameters and positions (PBE)
No peak broadening, texture or thermal motion is included.

Most intense lines, 10° ≤ 2θ ≤ 80°, by angle:
| Position (°2θ) | I_rel | hkl |
| --- | --- | --- |
| 25.6 | 31 | 4 0 -2 |
| 30.0 | 100 | 1 1 -2 |
| 30.2 | 45 | 6 0 0 |
| 42.1 | 20 | 0 2 0 |
| 42.2 | 38 | 7 1 -2 |
| 43.7 | 18 | 2 0 -4 |
| 43.9 | 30 | 5 1 2 |
| 52.7 | 19 | 6 2 0 |
| 62.3 | 12 | 2 2 -4 |
| 69.5 | 18 | 1 3 -2 |

Crystal structure
a b c (Å): 18.493 4.292 8.306
angles (deg): 90.00 106.00 90.00
Space group C2/m (No. 12)
Unique sites:
Tm  0.000  0.000  0.000 x2
Tm  0.161  0.500  0.319 x4
Tm  0.180  0.500  0.852 x4
Pu  0.000  0.000  0.500 x2
Sb  0.010  0.500  0.763 x4
Sb  0.172  0.000  0.588 x4

---

Question: Which formula does entry 1 have?
Answer: TbPu2USb4